Entry 1:
InGaCl: theoretical PXRD pattern (Cu Kα), based on the PBE geometry in Alexandria.
Neutral-atom scattering factors, no anomalous dispersion.

Principal peaks in the range 15 to 90 degrees two-theta, by angle:
- 2θ = 20.04°, I = 54
- 2θ = 30.87°, I = 100
- 2θ = 32.49°, I = 39
- 2θ = 35.12°, I = 40
- 2θ = 38.96°, I = 44
- 2θ = 40.73°, I = 41

```
InGaCl
1.0
5.801 0.000 0.000
0.000 6.864 0.000
0.000 0.000 7.657
In Ga Cl
4 4 4
Direct
0.250 0.001 0.000
0.250 0.999 0.500
0.750 0.499 0.000
0.750 0.501 0.500
0.000 0.250 0.251
0.000 0.750 0.249
0.500 0.250 0.749
0.500 0.750 0.751
0.133 0.500 0.750
0.367 0.500 0.250
0.633 0.000 0.250
0.867 0.000 0.750
```

Entry 2:
InGaCl: theoretical PXRD pattern (Cu Kα), based on the PBE geometry in Alexandria.
Neutral-atom scattering factors, no anomalous dispersion.

Principal peaks in the range 15 to 90 degrees two-theta, by angle:
- 2θ = 15.81°, I = 88
- 2θ = 25.25°, I = 58
- 2θ = 33.58°, I = 100
- 2θ = 40.68°, I = 28
- 2θ = 41.32°, I = 25
- 2θ = 45.46°, I = 22

```
InGaCl
1.0
11.213 0.000 0.000
0.000 4.370 0.000
-0.035 0.000 7.066
In Ga Cl
4 4 4
Direct
0.000 0.000 0.000
0.061 0.500 0.294
0.500 0.500 0.000
0.561 0.000 0.294
0.080 0.500 0.764
0.135 0.000 0.547
0.580 0.000 0.764
0.635 0.500 0.547
0.263 0.500 0.001
0.350 0.000 0.538
0.763 0.000 0.001
0.850 0.500 0.538
```

Entry 3:
InGa2Cl7: theoretical PXRD pattern (Cu Kα), based on the PBE geometry in Alexandria.
Neutral-atom scattering factors, no anomalous dispersion.

Principal peaks in the range 15 to 90 degrees two-theta, by angle:
- 2θ = 16.45°, I = 100
- 2θ = 19.16°, I = 81
- 2θ = 20.55°, I = 49
- 2θ = 21.00°, I = 61
- 2θ = 27.31°, I = 52
- 2θ = 28.76°, I = 55

```
InGa2Cl7
1.0
12.619 0.000 0.000
0.000 9.962 0.000
0.000 0.000 10.370
In Ga Cl
4 8 28
Direct
0.105 0.158 0.000
0.395 0.658 0.500
0.605 0.342 0.000
0.895 0.842 0.500
0.119 0.610 0.857
0.179 0.053 0.625
0.321 0.553 0.125
0.381 0.110 0.357
0.619 0.890 0.857
0.679 0.447 0.625
0.821 0.947 0.125
0.881 0.390 0.357
0.016 0.776 0.805
0.027 0.139 0.681
0.038 0.461 0.977
0.164 0.875 0.504
0.210 0.524 0.699
0.219 0.533 0.293
0.242 0.714 0.993
0.258 0.214 0.493
0.281 0.033 0.793
0.290 0.024 0.199
0.336 0.375 0.004
0.462 0.961 0.477
0.473 0.639 0.181
0.484 0.276 0.305
0.516 0.724 0.805
0.527 0.361 0.681
0.538 0.039 0.977
0.664 0.625 0.504
0.710 0.976 0.699
0.719 0.967 0.293
0.742 0.786 0.993
0.758 0.286 0.493
0.781 0.467 0.793
0.790 0.476 0.199
0.836 0.125 0.004
0.962 0.539 0.477
0.973 0.861 0.181
0.984 0.224 0.305
```

Entry 4:
LiIn2GaCl4: theoretical PXRD pattern (Cu Kα), based on the PBE geometry in Alexandria.
Neutral-atom scattering factors, no anomalous dispersion.

Principal peaks in the range 15 to 90 degrees two-theta, by angle:
- 2θ = 24.41°, I = 36
- 2θ = 25.28°, I = 21
- 2θ = 29.39°, I = 100
- 2θ = 29.60°, I = 46
- 2θ = 32.31°, I = 21
- 2θ = 42.21°, I = 65

```
LiIn2GaCl4
1.0
-4.256 4.340 6.035
4.256 -4.340 6.035
4.256 4.340 -6.035
Li In Ga Cl
2 4 2 8
Direct
0.500 0.000 0.000
0.500 0.500 0.500
0.000 0.000 0.000
0.000 0.000 0.500
0.000 0.500 0.000
0.500 0.000 0.500
0.000 0.500 0.500
0.500 0.500 0.000
0.275 0.745 0.531
0.281 0.292 0.511
0.281 0.770 0.989
0.286 0.255 0.031
0.714 0.745 0.969
0.719 0.230 0.011
0.719 0.708 0.489
0.725 0.255 0.469
```